Diffraction record for PW6Cl17. The X-ray diffraction stick pattern is calculated, not measured: it uses a crystal structure in OQMD, relaxed with GGA-PBE and λ = 1.5418 Å (Cu Kα).
No peak broadening, texture or thermal motion is included.

Atomic structure:
Cell lengths 6.805, 16.059, 10.230 Å; angles 90.00, 90.00, 90.00 degrees
Space group Imm2 (No. 44)
One atom of each set of equivalent atoms:
P 0.000 0.000 0.000 x2
W 0.000 0.080 0.800 x4
W 0.000 0.143 0.057 x4
W 0.203 0.000 0.199 x4
Cl 0.000 0.000 0.392 x2
Cl 0.000 0.175 0.624 x4
Cl 0.000 0.288 0.052 x4
Cl 0.000 0.500 0.556 x2
Cl 0.000 0.500 0.858 x2
Cl 0.229 0.347 0.401 x8
Cl 0.242 0.148 0.229 x8
Cl 0.247 0.000 0.678 x4

Main lines, in order of rising 2θ (5° ≤ 2θ ≤ 70°):
2θ/deg  Rel. int.
10.25  100.0
11.02  47.3
14.14  98.8
15.64  46.4
20.59  27.1
28.21  25.2
33.53  27.0
37.77  24.6
44.31  23.2
46.69  18.5

***

Diffraction record for Gd4Mg3Pd2. The X-ray diffraction stick pattern is calculated, not measured: it uses a crystal structure in OQMD, relaxed with GGA-PBE and λ = 1.5418 Å (Cu Kα).
No peak broadening, texture or thermal motion is included.

Atomic structure:
Cell lengths 7.545, 3.733, 8.422 Å; angles 90.00, 106.32, 90.00 degrees
Space group P2/m (No. 10)
One atom of each set of equivalent atoms:
Gd 0.065 0.000 0.211 x2
Gd 0.387 0.000 0.679 x2
Mg 0.000 0.500 0.500 x1
Mg 0.300 0.500 0.010 x2
Pd 0.330 0.500 0.379 x2

Main lines, in order of rising 2θ (5° ≤ 2θ ≤ 70°):
2θ/deg  Rel. int.
10.95  50.9
13.94  63.2
21.99  42.9
23.94  40.4
32.65  85.2
34.04  78.4
35.51  33.3
37.20  100.0
38.46  51.3
40.31  31.1

***

Diffraction record for AuF3. The X-ray diffraction stick pattern is calculated, not measured: it uses a crystal structure in OQMD, relaxed with GGA-PBE and λ = 1.5418 Å (Cu Kα).
No peak broadening, texture or thermal motion is included.

Atomic structure:
Cell lengths 4.8219, 4.8219, 16.2376 Å; angles 90.00, 90.00, 120.00 degrees
Space group P6_122 (No. 178)
One atom of each set of equivalent atoms:
Au 0.2495 0.4990 0.2500 x6
F 0.0000 0.1499 0.3333 x6
F 0.1762 0.5006 0.6644 x12

Main lines, in order of rising 2θ (5° ≤ 2θ ≤ 70°):
2θ/deg  Rel. int.
21.28  20.7
21.98  39.8
23.96  33.1
26.97  100.0
30.72  17.3
44.82  26.4
46.94  27.7
49.06  19.2
54.93  16.9
58.78  17.4

***

Diffraction record for Lu2Sn2Pt3C. The X-ray diffraction stick pattern is calculated, not measured: it uses a crystal structure in OQMD, relaxed with GGA-PBE and λ = 1.5418 Å (Cu Kα).
No peak broadening, texture or thermal motion is included.

Atomic structure:
Cell lengths 4.3011, 4.3011, 10.0382 Å; angles 90.00, 90.00, 120.00 degrees
Space group P3m1 (No. 156)
One atom of each set of equivalent atoms:
Lu 0.0000 0.0000 0.0000 x1
Lu 0.3333 0.6667 0.4535 x1
Sn 0.6667 0.3333 0.2020 x1
Sn 0.6667 0.3333 0.7074 x1
Pt 0.0000 0.0000 0.3132 x1
Pt 0.0000 0.0000 0.6002 x1
Pt 0.3333 0.6667 0.8145 x1
C 0.3333 0.6667 0.0103 x1

Main lines, in order of rising 2θ (5° ≤ 2θ ≤ 70°):
2θ/deg  Rel. int.
8.81  16.8
23.89  20.4
25.51  15.5
29.87  58.0
36.08  100.0
42.01  87.5
43.48  24.5
52.40  12.4
56.55  28.0
60.68  12.0

***

Diffraction record for Cu7Ag13. The X-ray diffraction stick pattern is calculated, not measured: it uses a crystal structure in OQMD, relaxed with GGA-PBE and λ = 1.5418 Å (Cu Kα).
No peak broadening, texture or thermal motion is included.

Atomic structure:
Cell lengths 5.690, 6.229, 9.763 Å; angles 97.03, 105.92, 102.87 degrees
Space group P1 (No. 1)
One atom of each set of equivalent atoms:
Cu 0.000 0.000 0.000 x1
Cu 0.013 0.996 0.517 x1
Cu 0.319 0.789 0.708 x1
Cu 0.411 0.403 0.614 x1
Cu 0.721 0.186 0.815 x1
Cu 0.804 0.804 0.713 x1
Cu 0.908 0.379 0.099 x1
Ag 0.106 0.603 0.907 x1
Ag 0.116 0.605 0.418 x1
Ag 0.204 0.172 0.798 x1
Ag 0.206 0.196 0.315 x1
Ag 0.305 0.794 0.205 x1
Ag 0.399 0.383 0.105 x1
Ag 0.513 0.011 0.529 x1
Ag 0.522 0.996 0.002 x1
Ag 0.609 0.582 0.897 x1
Ag 0.618 0.609 0.423 x1
Ag 0.715 0.194 0.313 x1
Ag 0.811 0.783 0.203 x1
Ag 0.915 0.402 0.618 x1

Main lines, in order of rising 2θ (5° ≤ 2θ ≤ 70°):
2θ/deg  Rel. int.
30.03  1.6
33.39  0.9
39.09  100.0
44.62  16.8
45.58  15.1
46.12  15.4
65.64  4.9
65.75  4.4
66.12  9.6
66.86  8.8

***

Diffraction record for Er3Lu4Pd2Se2. The X-ray diffraction stick pattern is calculated, not measured: it uses a crystal structure in OQMD, relaxed with GGA-PBE and λ = 1.5418 Å (Cu Kα).
No peak broadening, texture or thermal motion is included.

Atomic structure:
Cell lengths 3.844, 15.005, 9.255 Å; angles 90.00, 90.00, 90.00 degrees
Space group Imm2 (No. 44)
One atom of each set of equivalent atoms:
Er 0.000 0.000 0.000 x2
Er 0.000 0.362 0.252 x4
Lu 0.000 0.123 0.410 x4
Lu 0.000 0.319 0.621 x4
Pd 0.000 0.240 0.925 x4
Se 0.000 0.000 0.654 x2
Se 0.000 0.500 0.759 x2

Main lines, in order of rising 2θ (5° ≤ 2θ ≤ 70°):
2θ/deg  Rel. int.
29.30  21.8
29.56  20.6
30.82  56.1
31.34  28.2
34.15  50.7
34.79  100.0
35.26  48.6
37.38  20.9
47.29  28.4
52.71  27.0

***

Diffraction record for CsTlAg. The X-ray diffraction stick pattern is calculated, not measured: it uses a crystal structure in OQMD, relaxed with GGA-PBE and λ = 1.5418 Å (Cu Kα).
No peak broadening, texture or thermal motion is included.

Atomic structure:
Cell lengths 4.903, 5.524, 8.744 Å; angles 84.71, 89.96, 89.89 degrees
Space group P-1 (No. 2)
One atom of each set of equivalent atoms:
Cs 0.249 0.267 0.339 x2
Tl 0.251 0.168 0.861 x2
Ag 0.250 0.652 0.991 x2

Main lines, in order of rising 2θ (5° ≤ 2θ ≤ 70°):
2θ/deg  Rel. int.
10.16  100.0
24.32  42.2
27.27  45.0
27.40  75.6
30.94  34.7
36.66  32.5
37.50  19.7
38.12  21.3
41.50  24.8
46.29  21.4

***

Diffraction record for Ni3Ir2. The X-ray diffraction stick pattern is calculated, not measured: it uses a crystal structure in OQMD, relaxed with GGA-PBE and λ = 1.5418 Å (Cu Kα).
No peak broadening, texture or thermal motion is included.

Atomic structure:
Cell lengths 6.1126, 6.1126, 13.0248 Å; angles 90.00, 90.00, 120.00 degrees
Space group R-3c (No. 167, hexagonal axes)
One atom of each set of equivalent atoms:
Ni 0.0000 0.2352 0.2500 x18
Ir 0.0000 0.0000 0.0925 x12

Main lines, in order of rising 2θ (5° ≤ 2θ ≤ 70°):
2θ/deg  Rel. int.
29.22  100.0
32.28  24.0
36.65  23.7
41.60  37.2
44.09  32.4
47.54  25.4
51.65  37.0
51.81  32.5
53.77  38.9
68.53  25.2

***

Diffraction record for B3Mo4As. The X-ray diffraction stick pattern is calculated, not measured: it uses a crystal structure in OQMD, relaxed with GGA-PBE and λ = 1.5418 Å (Cu Kα).
No peak broadening, texture or thermal motion is included.

Atomic structure:
Cell lengths 3.1810, 3.1810, 22.7022 Å; angles 90.00, 90.00, 120.00 degrees
Space group P6_3/mmc (No. 194)
One atom of each set of equivalent atoms:
B 0.0000 0.0000 0.0000 x2
B 0.3333 0.6667 0.1139 x4
Mo 0.0000 0.0000 0.1652 x4
Mo 0.3333 0.6667 0.5577 x4
As 0.3333 0.6667 0.7500 x2

Main lines, in order of rising 2θ (5° ≤ 2θ ≤ 70°):
2θ/deg  Rel. int.
31.53  11.5
32.75  27.9
33.47  28.5
36.25  29.4
38.21  73.8
39.70  23.4
40.50  100.0
55.65  18.0
57.99  44.6
59.25  14.0

***

Diffraction record for TmZr. The X-ray diffraction stick pattern is calculated, not measured: it uses a crystal structure in OQMD, relaxed with GGA-PBE and λ = 1.5418 Å (Cu Kα).
No peak broadening, texture or thermal motion is included.

Atomic structure:
Cell lengths 3.3515, 3.3515, 5.3209 Å; angles 90.00, 90.00, 120.00 degrees
Space group P-6m2 (No. 187)
One atom of each set of equivalent atoms:
Tm 0.0000 0.0000 0.0000 x1
Zr 0.6667 0.3333 0.5000 x1

Main lines, in order of rising 2θ (5° ≤ 2θ ≤ 70°):
2θ/deg  Rel. int.
16.66  10.3
30.81  28.8
33.69  24.4
35.22  100.0
46.29  18.9
54.78  18.2
61.25  20.0
64.17  3.6
65.87  20.7
66.82  15.4

***

- What is the formula in the sixth record?
  Er3Lu4Pd2Se2

***

Repeat the eighth record exactly.
Diffraction record for Ni3Ir2. The X-ray diffraction stick pattern is calculated, not measured: it uses a crystal structure in OQMD, relaxed with GGA-PBE and λ = 1.5418 Å (Cu Kα).
No peak broadening, texture or thermal motion is included.

Atomic structure:
Cell lengths 6.1126, 6.1126, 13.0248 Å; angles 90.00, 90.00, 120.00 degrees
Space group R-3c (No. 167, hexagonal axes)
One atom of each set of equivalent atoms:
Ni 0.0000 0.2352 0.2500 x18
Ir 0.0000 0.0000 0.0925 x12

Main lines, in order of rising 2θ (5° ≤ 2θ ≤ 70°):
2θ/deg  Rel. int.
29.22  100.0
32.28  24.0
36.65  23.7
41.60  37.2
44.09  32.4
47.54  25.4
51.65  37.0
51.81  32.5
53.77  38.9
68.53  25.2